Structure and calculated powder diffractogram of LiNd4Rh4O12 (DFT lattice parameters and positions (GGA-PBE); a wavelength of 1.5418 Å).
Neutral-atom scattering factors, no anomalous dispersion.

Most intense lines, 2θ from 15° to 90°, sorted by position:
2θ 24.6, I = 26, hkl 1 1 -1; 2θ 24.9, I = 28, hkl 1 1 1; 2θ 28.8, I = 32, hkl 0 0 2; 2θ 31.1, I = 35, hkl 0 1 2; 2θ 31.9, I = 99, hkl 1 2 -1; 2θ 32.2, I = 100, hkl 1 2 1; 2θ 33.1, I = 50, hkl 2 0 0; 2θ 47.4, I = 39, hkl 0 4 0; 2θ 58.2, I = 24, hkl 3 2 -1; 2θ 59.1, I = 22, hkl 2 4 0

Structure:
Unit cell a=5.411 b=7.661 c=6.202 alpha=90.00 beta=91.08 gamma=90.00
Atoms (fractional coordinates):
Li 0.000 0.000 0.000
Nd 0.393 0.500 0.665
Nd 0.475 0.000 0.843
Nd 0.876 0.000 0.380
Nd 0.953 0.500 0.171
Rh 0.420 0.249 0.254
Rh 0.420 0.751 0.254
Rh 0.929 0.257 0.753
Rh 0.929 0.743 0.753
O 0.062 0.000 0.717
O 0.101 0.304 0.447
O 0.101 0.696 0.447
O 0.252 0.304 0.945
O 0.252 0.696 0.945
O 0.277 0.000 0.198
O 0.552 0.500 0.305
O 0.598 0.197 0.564
O 0.598 0.803 0.564
O 0.757 0.190 0.062
O 0.757 0.810 0.062
O 0.799 0.500 0.804

***

Structure and calculated powder diffractogram of LiNd2RuO6 (DFT lattice parameters and positions (GGA-PBE); a wavelength of 1.5418 Å).
Neutral-atom scattering factors, no anomalous dispersion.

Most intense lines, 2θ from 15° to 90°, sorted by position:
2θ 19.1, I = 38, hkl 0 1 1; 2θ 22.4, I = 36, hkl 1 1 -1; 2θ 25.2, I = 49, hkl 1 1 0; 2θ 30.8, I = 36, hkl 0 2 0; 2θ 32.1, I = 99, hkl 1 1 1; 2θ 32.3, I = 100, hkl 1 1 -3; 2θ 32.8, I = 52, hkl 2 0 -2; 2θ 45.6, I = 37, hkl 2 2 -2; 2θ 51.5, I = 42, hkl 1 3 0; 2θ 58.4, I = 41, hkl 2 0 -6

Structure:
Unit cell a=5.456 b=5.804 c=9.476 alpha=90.00 beta=124.80 gamma=90.00
Atoms (fractional coordinates):
Li 0.000 0.000 0.000
Li 0.000 0.500 0.500
Nd 0.232 0.071 0.749
Nd 0.232 0.429 0.249
Nd 0.768 0.571 0.751
Nd 0.768 0.929 0.251
Ru 0.500 0.000 0.500
Ru 0.500 0.500 0.000
O 0.157 0.186 0.452
O 0.157 0.314 0.952
O 0.265 0.712 0.447
O 0.265 0.788 0.947
O 0.355 0.031 0.256
O 0.355 0.469 0.756
O 0.645 0.531 0.244
O 0.645 0.969 0.744
O 0.735 0.212 0.053
O 0.735 0.288 0.553
O 0.843 0.686 0.048
O 0.843 0.814 0.548